Structure and theoretical powder diffraction line list of PrSm2WN4 (a DFT-relaxed cell (GGA-PBE, Alexandria); Cu Kα (λ = 1.5418 Å)).

Largest 10 diffraction maxima, sorted by position, 2θ from 5° to 70°:
Position (°2θ)	intensity
29.2	41
29.5	30
30.4	100
34.6	17
34.8	22
37.1	62
39.7	15
42.0	16
51.1	21
52.5	21

Crystal structure
a b c (Å): 6.2990 6.2990 12.2525
angles (deg): 90.00 90.00 147.87
Fractional positions:
Pr (0.0893, 0.9107, 0.7500)
Pr (0.9107, 0.0893, 0.2500)
Sm (0.3697, 0.6303, 0.5381)
Sm (0.3697, 0.6303, 0.9619)
Sm (0.6303, 0.3697, 0.0381)
Sm (0.6303, 0.3697, 0.4619)
W (0.1689, 0.8311, 0.2500)
W (0.8311, 0.1689, 0.7500)
N (0.0000, 0.0000, 0.0000)
N (0.0000, 0.0000, 0.5000)
N (0.2648, 0.7352, 0.1269)
N (0.2648, 0.7352, 0.3731)
N (0.4276, 0.5724, 0.7500)
N (0.5724, 0.4276, 0.2500)
N (0.7352, 0.2648, 0.6269)
N (0.7352, 0.2648, 0.8731)